(1)
For BaCrCu2Te4, a PBE-relaxed structure gives the computed powder diffractogram in this record (a wavelength of 1.5418 Å).
Neutral-atom scattering factors, no anomalous dispersion.

Principal peaks in the range 2θ from 10° to 80°, low angle first:
2θ/deg	I/Imax	hkl
26.17	100	1 1 2
27.04	73	1 2 1
29.38	23	0 2 2
31.98	27	0 1 3
33.06	23	2 0 2
34.00	53	2 2 0
44.10	32	1 1 4
46.13	22	3 1 2
46.83	23	1 4 1
52.52	31	2 3 3

Cell and atoms:
abc: 6.822 8.310 8.918
angles: 90.00 90.00 90.00
Space group I222 (No. 23)
Symmetry-distinct sites (fractional):
Ba (0.000, 0.000, 0.000) [2 per cell]
Cr (0.000, 0.000, 0.500) [2 per cell]
Cu (0.000, 0.500, 0.139) [4 per cell]
Te (0.211, 0.182, 0.332) [8 per cell]


(2)
For PrEr2InPd4, a PBE-relaxed structure gives the computed powder diffractogram in this record (a wavelength of 1.5418 Å).
Neutral-atom scattering factors, no anomalous dispersion.

Principal peaks in the range 2θ from 10° to 80°, low angle first:
2θ/deg	I/Imax	hkl
25.58	6	1 0 4
27.84	4	0 1 5
36.16	96	0 1 8
36.80	100	1 1 0
52.55	33	2 0 8
64.61	13	1 0 16
65.87	33	1 2 8
66.29	19	3 0 0
76.74	8	0 2 16
78.30	12	2 2 0

Cell and atoms:
abc: 4.8845 4.8845 24.5503
angles: 90.00 90.00 120.00
Space group R-3m (No. 166, hexagonal axes)
Symmetry-distinct sites (fractional):
Pr (0.0000, 0.0000, 0.0000) [3 per cell]
Er (0.0000, 0.0000, 0.2431) [6 per cell]
In (0.0000, 0.0000, 0.5000) [3 per cell]
Pd (0.0000, 0.0000, 0.1249) [6 per cell]
Pd (0.0000, 0.0000, 0.3844) [6 per cell]


(3)
For NaTcN, a PBE-relaxed structure gives the computed powder diffractogram in this record (a wavelength of 1.5418 Å).
Neutral-atom scattering factors, no anomalous dispersion.

Principal peaks in the range 2θ from 10° to 80°, low angle first:
2θ/deg	I/Imax	hkl
15.27	100	0 0 1
30.81	19	0 0 2
31.94	28	-1 1 1
33.77	12	0 1 -2
37.35	18	1 -1 1
39.68	24	1 0 1
41.05	20	0 2 0
42.04	24	1 1 -1
45.78	22	1 -2 1
51.69	11	-1 1 3

Cell and atoms:
abc: 3.109 4.732 6.104
angles: 94.76 104.75 109.09
Space group P-1 (No. 2)
Symmetry-distinct sites (fractional):
Na (0.188, 0.275, 0.100) [2 per cell]
Tc (0.113, 0.767, 0.459) [2 per cell]
N (0.436, 0.133, 0.740) [2 per cell]


(4)
For Rb2HfSeBr6, a PBE-relaxed structure gives the computed powder diffractogram in this record (a wavelength of 1.5418 Å).
Neutral-atom scattering factors, no anomalous dispersion.

Principal peaks in the range 2θ from 10° to 80°, low angle first:
2θ/deg	I/Imax	hkl
13.18	51	1 0 1
14.24	52	1 1 0
20.19	30	2 0 0
22.29	42	1 1 2
26.55	48	2 0 2
28.70	100	2 2 0
34.51	36	0 0 4
41.04	31	4 0 0
45.48	69	2 2 4
54.67	27	4 0 4

Cell and atoms:
abc: 8.798 8.798 10.394
angles: 90.00 90.00 90.00
Space group I4/mmm (No. 139)
Symmetry-distinct sites (fractional):
Rb (0.000, 0.500, 0.250) [4 per cell]
Hf (0.000, 0.000, 0.000) [2 per cell]
Se (0.000, 0.000, 0.500) [2 per cell]
Br (0.000, 0.000, 0.252) [4 per cell]
Br (0.211, 0.211, 0.000) [8 per cell]


Please write out number 4 again, unchanged.
For Rb2HfSeBr6, a PBE-relaxed structure gives the computed powder diffractogram in this record (a wavelength of 1.5418 Å).
Neutral-atom scattering factors, no anomalous dispersion.

Principal peaks in the range 2θ from 10° to 80°, low angle first:
2θ/deg	I/Imax	hkl
13.18	51	1 0 1
14.24	52	1 1 0
20.19	30	2 0 0
22.29	42	1 1 2
26.55	48	2 0 2
28.70	100	2 2 0
34.51	36	0 0 4
41.04	31	4 0 0
45.48	69	2 2 4
54.67	27	4 0 4

Cell and atoms:
abc: 8.798 8.798 10.394
angles: 90.00 90.00 90.00
Space group I4/mmm (No. 139)
Symmetry-distinct sites (fractional):
Rb (0.000, 0.500, 0.250) [4 per cell]
Hf (0.000, 0.000, 0.000) [2 per cell]
Se (0.000, 0.000, 0.500) [2 per cell]
Br (0.000, 0.000, 0.252) [4 per cell]
Br (0.211, 0.211, 0.000) [8 per cell]


Repeat the first record exactly.
For BaCrCu2Te4, a PBE-relaxed structure gives the computed powder diffractogram in this record (a wavelength of 1.5418 Å).
Neutral-atom scattering factors, no anomalous dispersion.

Principal peaks in the range 2θ from 10° to 80°, low angle first:
2θ/deg	I/Imax	hkl
26.17	100	1 1 2
27.04	73	1 2 1
29.38	23	0 2 2
31.98	27	0 1 3
33.06	23	2 0 2
34.00	53	2 2 0
44.10	32	1 1 4
46.13	22	3 1 2
46.83	23	1 4 1
52.52	31	2 3 3

Cell and atoms:
abc: 6.822 8.310 8.918
angles: 90.00 90.00 90.00
Space group I222 (No. 23)
Symmetry-distinct sites (fractional):
Ba (0.000, 0.000, 0.000) [2 per cell]
Cr (0.000, 0.000, 0.500) [2 per cell]
Cu (0.000, 0.500, 0.139) [4 per cell]
Te (0.211, 0.182, 0.332) [8 per cell]